Theoretical powder diffractogram
Compound: Na3Zr2Si2PO12
Radiation: Cu Kα (weighted mean of Kα1 and Kα2)
Structure: a structure optimized by DFT (GGA-PBE)
Kinematic intensities with the Lorentz-polarization factor, no thermal factor.

Cell lengths 9.1470, 9.1814, 9.3063 Å; angles 89.75, 60.95, 60.18 degrees
Element x y z (fractional)
Na (0.0000, 0.0000, 0.0000)
Na (0.0177, 0.7808, 0.6186)
Na (0.2035, 0.1154, 0.2096)
Na (0.3095, 0.3835, 0.7928)
Na (0.6294, 0.4980, 0.4620)
Na (0.6515, 0.7013, 0.9435)
Zr (0.4519, 0.9463, 0.7452)
Zr (0.4549, 0.4462, 0.2451)
Zr (0.8552, 0.7447, 0.1280)
Zr (0.8620, 0.2404, 0.6335)
Si (0.3712, 0.8477, 0.4226)
Si (0.3763, 0.6249, 0.9293)
Si (0.6490, 0.0573, 0.9449)
Si (0.9395, 0.3451, 0.9490)
P (0.6664, 0.1378, 0.4319)
P (0.9370, 0.5647, 0.4494)
O (0.1364, 0.5395, 0.4028)
O (0.1566, 0.1660, 0.8961)
O (0.1594, 0.6588, 0.9871)
O (0.1601, 0.0254, 0.4646)
O (0.3583, 0.6746, 0.4199)
O (0.3603, 0.8093, 0.9061)
O (0.4141, 0.8623, 0.5730)
O (0.4290, 0.5807, 0.0753)
O (0.4998, 0.0176, 0.9309)
O (0.4999, 0.3160, 0.4394)
O (0.5176, 0.2249, 0.1136)
O (0.5539, 0.4606, 0.7461)
O (0.5585, 0.0922, 0.5964)
O (0.5606, 0.8166, 0.2359)
O (0.7604, 0.3538, 0.1283)
O (0.7666, 0.7111, 0.6291)
O (0.7806, 0.9864, 0.2673)
O (0.7822, 0.0897, 0.7668)
O (0.8205, 0.1647, 0.4336)
O (0.8265, 0.8767, 0.9473)
O (0.8858, 0.6248, 0.3151)
O (0.8980, 0.3401, 0.7971)
O (0.9478, 0.3909, 0.4557)
O (0.9523, 0.5152, 0.9673)

The 10 most intense peaks (2θ = 10–90°), low angle first:
(1 0 0), 2θ 13.45, rel. 45; (0 1 1), 2θ 18.81, rel. 39; (1 1 -1), 2θ 18.97, rel. 35; (1 0 2), 2θ 19.09, rel. 47; (1 2 0), 2θ 19.36, rel. 100; (1 -1 2), 2θ 22.66, rel. 41; (-1 1 1), 2θ 30.00, rel. 35; (2 1 -1), 2θ 30.14, rel. 56; (2 1 3), 2θ 30.38, rel. 36; (3 3 1), 2θ 33.90, rel. 47